Starting from a cell relaxed with PBE, the XRD peak list of La4P9Rh8 was simulated for Cu Kα (λ = 1.5418 Å).

Principal peaks in the range 2θ = 10–90°, sorted by position:
index, d/Å, I_rel
4 0 0, 3.291, 23
0 2 2, 2.781, 25
4 4 0, 2.711, 40
2 6 1, 2.573, 100
0 4 2, 2.484, 56
5 3 0, 2.433, 24
4 0 2, 2.179, 66
2 6 3, 1.606, 23

a b c (Å): 13.1647 19.1275 5.8134
angles (deg): 90.00 90.00 90.00
Space group Cmcm (No. 63)
Inequivalent atoms, fractional coordinates:
La (0.0000, 0.1108, 0.2500) [4 per cell]
La (0.0000, 0.3603, 0.7500) [4 per cell]
La (0.2246, 0.3646, 0.2500) [8 per cell]
P (0.0000, 0.4262, 0.2500) [4 per cell]
P (0.0797, 0.0640, 0.7500) [8 per cell]
P (0.1240, 0.2405, 0.5021) [16 per cell]
P (0.2170, 0.4289, 0.7500) [8 per cell]
Rh (0.0000, 0.1836, 0.7500) [4 per cell]
Rh (0.0000, 0.2920, 0.2500) [4 per cell]
Rh (0.1057, 0.5000, 0.0000) [8 per cell]
Rh (0.1807, 0.0000, 0.0000) [8 per cell]
Rh (0.2435, 0.3034, 0.7500) [8 per cell]


Starting from a cell relaxed with PBE, the XRD peak list of La5P12Ru19 was simulated for Cu Kα (λ = 1.5418 Å).

Principal peaks in the range 2θ = 10–90°, sorted by position:
index, d/Å, I_rel
2 2 0, 3.173, 16
2 2 1, 2.494, 100
3 1 1, 2.432, 25
4 1 0, 2.399, 11
0 0 2, 2.017, 24
6 0 0, 1.832, 14
6 0 2, 1.356, 10
2 2 3, 1.238, 13

a b c (Å): 12.6924 12.6924 4.0349
angles (deg): 90.00 90.00 120.00
Space group P-62m (No. 189)
Inequivalent atoms, fractional coordinates:
La (0.0000, 0.8164, 0.0000) [3 per cell]
La (0.3333, 0.6667, 0.5000) [2 per cell]
P (0.0000, 0.1885, 0.5000) [3 per cell]
P (0.0000, 0.6241, 0.5000) [3 per cell]
P (0.1691, 0.4749, 0.0000) [6 per cell]
Ru (0.0000, 0.0000, 0.5000) [1 per cell]
Ru (0.0000, 0.2853, 0.0000) [3 per cell]
Ru (0.0000, 0.4451, 0.5000) [3 per cell]
Ru (0.1246, 0.6339, 0.0000) [6 per cell]
Ru (0.1842, 0.3783, 0.5000) [6 per cell]


Starting from a cell relaxed with PBE, the XRD peak list of LaP2Ru2 was simulated for Cu Kα (λ = 1.5418 Å).

Principal peaks in the range 2θ = 10–90°, sorted by position:
index, d/Å, I_rel
1 0 1, 3.798, 25
0 0 4, 2.719, 23
1 0 3, 2.702, 41
1 1 2, 2.536, 100
2 0 0, 2.027, 38
2 0 4, 1.625, 20
1 1 6, 1.532, 27
3 1 2, 1.248, 21

a b c (Å): 4.0535 4.0535 10.8777
angles (deg): 90.00 90.00 90.00
Space group I4/mmm (No. 139)
Inequivalent atoms, fractional coordinates:
La (0.0000, 0.0000, 0.0000) [2 per cell]
P (0.0000, 0.0000, 0.3573) [4 per cell]
Ru (0.0000, 0.5000, 0.2500) [4 per cell]


Starting from a cell relaxed with PBE, the XRD peak list of LaPS4 was simulated for Cu Kα (λ = 1.5418 Å).

Principal peaks in the range 2θ = 10–90°, sorted by position:
index, d/Å, I_rel
2 0 0, 5.594, 100
2 0 4, 3.684, 65
2 2 4, 3.078, 68
4 0 0, 2.797, 21
4 2 0, 2.502, 38
4 0 4, 2.429, 48
2 0 8, 2.243, 24
4 2 4, 2.228, 56

a b c (Å): 11.1870 11.1870 19.5880
angles (deg): 90.00 90.00 90.00
Space group I4_1/acd (No. 142, origin choice 2)
Inequivalent atoms, fractional coordinates:
La (0.0000, 0.2500, 0.1250) [8 per cell]
La (0.0000, 0.2500, 0.3750) [8 per cell]
P (0.0360, 0.0000, 0.2500) [16 per cell]
S (0.0669, 0.0014, 0.8366) [32 per cell]
S (0.0953, 0.1154, 0.0013) [32 per cell]


Question: What is the formula in the second record?
Answer: La5P12Ru19


Please write out number 4 again, unchanged.
Starting from a cell relaxed with PBE, the XRD peak list of LaPS4 was simulated for Cu Kα (λ = 1.5418 Å).

Principal peaks in the range 2θ = 10–90°, sorted by position:
index, d/Å, I_rel
2 0 0, 5.594, 100
2 0 4, 3.684, 65
2 2 4, 3.078, 68
4 0 0, 2.797, 21
4 2 0, 2.502, 38
4 0 4, 2.429, 48
2 0 8, 2.243, 24
4 2 4, 2.228, 56

a b c (Å): 11.1870 11.1870 19.5880
angles (deg): 90.00 90.00 90.00
Space group I4_1/acd (No. 142, origin choice 2)
Inequivalent atoms, fractional coordinates:
La (0.0000, 0.2500, 0.1250) [8 per cell]
La (0.0000, 0.2500, 0.3750) [8 per cell]
P (0.0360, 0.0000, 0.2500) [16 per cell]
S (0.0669, 0.0014, 0.8366) [32 per cell]
S (0.0953, 0.1154, 0.0013) [32 per cell]